Simulated XRD peak list
Compound: Pm2NpO6
Radiation: Cu Kα
Structure: a cell relaxed with PBE
Lines closer than 0.1° are merged.

Largest 8 diffraction maxima, sorted by position, 2θ = 10–90°:
2theta, I/Imax, h k l
18.1, 80, 1 0 1
28.8, 100, 1 1 2
30.4, 22, 0 2 0
32.1, 27, 0 1 3
35.7, 23, 1 2 1
44.2, 22, 2 2 0
45.5, 31, 2 1 3
53.1, 21, 1 3 2

Structure:
abc: 5.7093 5.8742 9.4980
angles: 90.00 90.00 90.00
Positions (direct):
Pm  0.0000  0.0000  0.2057
Pm  0.0000  0.0000  0.7943
Pm  0.5000  0.5000  0.2943
Pm  0.5000  0.5000  0.7057
Np  0.0000  0.5000  0.0000
Np  0.5000  0.0000  0.5000
O  0.1663  0.1990  0.0000
O  0.2026  0.6527  0.1606
O  0.2026  0.6527  0.8394
O  0.2974  0.1527  0.3394
O  0.2974  0.1527  0.6606
O  0.3337  0.6990  0.5000
O  0.6663  0.3010  0.5000
O  0.7026  0.8473  0.3394
O  0.7026  0.8473  0.6606
O  0.7974  0.3473  0.1606
O  0.7974  0.3473  0.8394
O  0.8337  0.8010  0.0000